The following is a simulated PXRD pattern of Mn6Ni16P7. It was derived from a crystal structure in the Materials Project, relaxed with GGA-PBE, using Cu Kα (λ = 1.5418 Å).
Neutral-atom scattering factors, no anomalous dispersion.

Largest 10 diffraction maxima, low angle first, 2θ from 15° to 90°:
2theta, I_rel, (hkl)
32.65, 16, 4 0 0
40.27, 19, 4 2 2
42.83, 100, 3 3 3
46.84, 95, 4 4 0
49.13, 29, 5 3 1
49.87, 17, 6 0 0
73.20, 19, 6 6 0
74.97, 12, 5 5 5
79.61, 13, 9 1 1
88.72, 24, 9 3 3

a = 10.971 Å, b = 10.971 Å, c = 10.971 Å
α = 90.00°, β = 90.00°, γ = 90.00°
Space group Fm-3m (No. 225)
Unique sites:
Mn 0.000 0.000 0.191 (multiplicity 24)
Ni 0.117 0.117 0.383 (multiplicity 32)
Ni 0.164 0.164 0.164 (multiplicity 32)
P 0.000 0.000 0.500 (multiplicity 4)
P 0.000 0.250 0.250 (multiplicity 24)

=====

The following is a simulated PXRD pattern of MgGeP2. It was derived from a crystal structure in the Materials Project, relaxed with GGA-PBE, using Cu Kα (λ = 1.5418 Å).
Neutral-atom scattering factors, no anomalous dispersion.

Largest 10 diffraction maxima, low angle first, 2θ from 15° to 90°:
2theta, I_rel, (hkl)
22.87, 13, 1 0 0
27.41, 100, 1 0 1
38.11, 8, 1 0 2
44.91, 46, 1 1 2
46.72, 21, 2 0 0
51.78, 16, 1 0 3
55.02, 27, 2 1 1
72.29, 12, 2 1 3
81.52, 7, 2 0 4
85.43, 17, 3 1 2

a = 3.889 Å, b = 3.889 Å, c = 5.945 Å
α = 90.00°, β = 90.00°, γ = 90.00°
Space group P-4m2 (No. 115)
Unique sites:
Mg 0.000 0.000 0.000 (multiplicity 1)
Ge 0.500 0.500 0.500 (multiplicity 1)
P 0.000 0.500 0.268 (multiplicity 2)

=====

The following is a simulated PXRD pattern of Cu4As2O9. It was derived from a crystal structure in the Materials Project, relaxed with GGA-PBE, using Cu Kα (λ = 1.5418 Å).
Neutral-atom scattering factors, no anomalous dispersion.

Largest 10 diffraction maxima, low angle first, 2θ from 15° to 90°:
2theta, I_rel, (hkl)
23.51, 90, 0 2 0
23.87, 57, 0 2 -1
28.64, 71, 0 1 2
29.50, 58, 0 2 -2
31.85, 100, 2 1 -1
32.11, 45, 1 -1 2
34.10, 41, -2 2 1
36.20, 41, -1 1 3
40.13, 71, 0 3 1
57.16, 51, -4 1 2

a = 6.464 Å, b = 7.833 Å, c = 8.366 Å
α = 98.67°, β = 112.23°, γ = 97.83°
Space group P-1 (No. 2)
Unique sites:
Cu 0.097 0.357 0.233 (multiplicity 2)
Cu 0.142 0.877 0.584 (multiplicity 2)
Cu 0.344 0.831 0.049 (multiplicity 2)
Cu 0.379 0.610 0.754 (multiplicity 2)
As 0.133 0.232 0.852 (multiplicity 2)
As 0.499 0.712 0.414 (multiplicity 2)
O 0.006 0.931 0.344 (multiplicity 2)
O 0.030 0.771 0.024 (multiplicity 2)
O 0.170 0.441 0.816 (multiplicity 2)
O 0.194 0.774 0.790 (multiplicity 2)
O 0.226 0.305 0.469 (multiplicity 2)
O 0.339 0.721 0.540 (multiplicity 2)
O 0.376 0.510 0.252 (multiplicity 2)
O 0.379 0.176 0.991 (multiplicity 2)
O 0.497 0.882 0.306 (multiplicity 2)